This entry pairs a crystal structure of BaNdMnCoO5 with its calculated powder X-ray diffraction pattern. Radiation: Cu Ka. Structure: a cell relaxed with GGA+U.
Neutral-atom scattering factors, no anomalous dispersion.

Most intense lines, 2θ from 10° to 80°, most intense first:
2θ = 31.9°, intensity 100.0, (1 0 2)
2θ = 56.9°, intensity 40.9, (1 1 4)
2θ = 45.7°, intensity 20.1, (2 0 0)
2θ = 22.4°, intensity 15.8, (1 0 0)
2θ = 66.7°, intensity 15.0, (2 2 0)
2θ = 39.3°, intensity 13.6, (1 1 2)
2θ = 75.8°, intensity 10.7, (3 0 2)
2θ = 45.8°, intensity 7.2, (0 0 4)
2θ = 51.5°, intensity 5.1, (2 1 0)
2θ = 76.0°, intensity 4.9, (1 0 6)
2θ = 71.3°, intensity 3.8, (3 0 0)
2θ = 51.6°, intensity 2.6, (1 0 4)

Crystal structure
```
BaNdMnCoO5
1.0
3.9695 0.0000 0.0000
0.0000 3.9695 0.0000
0.0000 0.0000 7.9192
Ba Nd Mn Co O
1 1 1 1 5
Direct
0.0000 0.0000 0.0000 Ba
0.0000 0.0000 0.5198 Nd
0.5000 0.5000 0.2728 Mn
0.5000 0.5000 0.7540 Co
0.0000 0.5000 0.3291 O
0.0000 0.5000 0.7094 O
0.5000 0.0000 0.3291 O
0.5000 0.0000 0.7094 O
0.5000 0.5000 0.0180 O
```